Record 1
Calculated PXRD pattern
Compound: Nd2HfCuSb4
Radiation: Cu Kα
Structure: a crystal structure in OQMD, relaxed with PBE
No peak broadening, texture or thermal motion is included.

Structure:
```
data_Nd2HfCuSb4
_chemical_formula_sum 'Nd2 Hf1 Cu1 Sb4'
_cell_length_a 4.3359
_cell_length_b 4.3359
_cell_length_c 10.9397
_cell_angle_alpha 90.00
_cell_angle_beta 90.00
_cell_angle_gamma 90.00
_space_group_name_H-M_alt 'P -4 m 2'
_space_group_IT_number 115
_space_group_name_Hall 'P -4 -2'
loop_
_atom_site_label
_atom_site_type_symbol
_atom_site_fract_x
_atom_site_fract_y
_atom_site_fract_z
Nd1 Nd 0.0000 0.5000 0.2250
Hf1 Hf 0.5000 0.5000 0.5000
Cu1 Cu 0.0000 0.0000 0.5000
Sb1 Sb 0.0000 0.0000 0.0000
Sb2 Sb 0.0000 0.5000 0.6679
Sb3 Sb 0.5000 0.5000 0.0000
```

Main lines, in order of rising 2θ (10 to 90 degrees two-theta):
| h k l | 2theta | I (rel.) |
| --- | --- | --- |
| 1 0 2 | 26.23 | 24 |
| 0 0 4 | 32.74 | 12 |
| 1 1 2 | 33.51 | 100 |
| 1 0 4 | 38.93 | 13 |
| 2 0 0 | 41.66 | 36 |
| 3 1 2 | 70.85 | 22 |

Record 2
Calculated PXRD pattern
Compound: NdGaCu2Pt2
Radiation: Cu Kα
Structure: a crystal structure in OQMD, relaxed with PBE
No peak broadening, texture or thermal motion is included.

Structure:
```
data_NdGaCu2Pt2
_chemical_formula_sum 'Nd2 Ga2 Cu4 Pt4'
_cell_length_a 5.5633
_cell_length_b 8.8321
_cell_length_c 4.1699
_cell_angle_alpha 90.00
_cell_angle_beta 90.00
_cell_angle_gamma 90.00
_space_group_name_H-M_alt 'C m m m'
_space_group_IT_number 65
_space_group_name_Hall '-C 2 2'
loop_
_atom_site_label
_atom_site_type_symbol
_atom_site_fract_x
_atom_site_fract_y
_atom_site_fract_z
Nd1 Nd 0.0000 0.0000 0.0000
Ga1 Ga 0.0000 0.5000 0.5000
Cu1 Cu 0.0000 0.3425 0.0000
Pt1 Pt 0.2500 0.2500 0.5000
```

Main lines, in order of rising 2θ (10 to 90 degrees two-theta):
| h k l | 2theta | I (rel.) |
| --- | --- | --- |
| 0 2 1 | 29.46 | 94 |
| 2 2 0 | 38.24 | 89 |
| 2 0 1 | 38.92 | 100 |
| 0 4 0 | 40.88 | 94 |
| 0 0 2 | 43.40 | 57 |
| 2 2 2 | 59.20 | 56 |

Record 3
Calculated PXRD pattern
Compound: CoCuTcBi
Radiation: Cu Kα
Structure: a crystal structure in OQMD, relaxed with PBE
No peak broadening, texture or thermal motion is included.

Structure:
```
data_CoCuTcBi
_chemical_formula_sum 'Co4 Cu4 Tc4 Bi4'
_cell_length_a 6.3481
_cell_length_b 6.3481
_cell_length_c 6.3481
_cell_angle_alpha 90.00
_cell_angle_beta 90.00
_cell_angle_gamma 90.00
_space_group_name_H-M_alt 'F -4 3 m'
_space_group_IT_number 216
_space_group_name_Hall 'F -4 2 3'
loop_
_atom_site_label
_atom_site_type_symbol
_atom_site_fract_x
_atom_site_fract_y
_atom_site_fract_z
Co1 Co 0.0000 0.0000 0.0000
Cu1 Cu 0.0000 0.0000 0.5000
Tc1 Tc 0.2500 0.2500 0.2500
Bi1 Bi 0.2500 0.2500 0.7500
```

Main lines, in order of rising 2θ (10 to 90 degrees two-theta):
| h k l | 2theta | I (rel.) |
| --- | --- | --- |
| 1 1 1 | 24.28 | 14 |
| 2 0 0 | 28.11 | 20 |
| 2 2 0 | 40.18 | 100 |
| 4 0 0 | 58.12 | 17 |
| 4 2 2 | 73.02 | 34 |
| 4 4 0 | 86.78 | 11 |